Calculated X-ray powder pattern of Na2Mn2VTe6 for copper Kα, from a structure optimized by DFT (PBE).

```
data_Na2Mn2VTe6
_chemical_formula_sum 'Na4 Mn4 V2 Te12'
_cell_length_a 6.9143
_cell_length_b 11.8944
_cell_length_c 8.0143
_cell_angle_alpha 90.00
_cell_angle_beta 107.22
_cell_angle_gamma 90.00
_symmetry_space_group_name_H-M 'C 1 2/m 1'
_symmetry_Int_Tables_number 12
_symmetry_space_group_name_Hall '-C 2y'
loop_
_atom_site_label
_atom_site_fract_x
_atom_site_fract_y
_atom_site_fract_z
Na1 0.0000 0.1679 0.0000
Mn1 0.0000 0.3321 0.5000
V1 0.0000 0.0000 0.5000
Te1 0.2331 0.5000 0.6993
Te2 0.2350 0.1668 0.6997
```

Principal peaks in the range 10 to 90 degrees two-theta, sorted by position:
d 7.655, rel. 75
d 3.828, rel. 18
d 3.300, rel. 66
d 2.973, rel. 51
d 2.945, rel. 100
d 2.369, rel. 25
d 2.209, rel. 27
d 1.993, rel. 37
d 1.788, rel. 18
d 1.650, rel. 26


Calculated X-ray powder pattern of NaMn2W for copper Kα, from a structure optimized by DFT (PBE).

```
data_NaMn2W
_chemical_formula_sum 'Na4 Mn8 W4'
_cell_length_a 6.1848
_cell_length_b 6.1848
_cell_length_c 6.1848
_cell_angle_alpha 90.00
_cell_angle_beta 90.00
_cell_angle_gamma 90.00
_symmetry_space_group_name_H-M 'F m -3 m'
_symmetry_Int_Tables_number 225
_symmetry_space_group_name_Hall '-F 4 2 3'
loop_
_atom_site_label
_atom_site_fract_x
_atom_site_fract_y
_atom_site_fract_z
Na1 0.0000 0.0000 0.0000
Mn1 0.2500 0.2500 0.2500
W1 0.0000 0.0000 0.5000
```

Principal peaks in the range 10 to 90 degrees two-theta, sorted by position:
d 3.571, rel. 61
d 3.092, rel. 11
d 2.187, rel. 100
d 1.865, rel. 31
d 1.546, rel. 16
d 1.419, rel. 13
d 1.383, rel. 5
d 1.262, rel. 32
d 1.190, rel. 10
d 1.093, rel. 10


Calculated X-ray powder pattern of Na2MnZn for copper Kα, from a structure optimized by DFT (PBE).

```
data_Na2MnZn
_chemical_formula_sum 'Na8 Mn4 Zn4'
_cell_length_a 8.3860
_cell_length_b 8.3860
_cell_length_c 5.4186
_cell_angle_alpha 90.00
_cell_angle_beta 90.00
_cell_angle_gamma 90.00
_symmetry_space_group_name_H-M 'I -4 2 d'
_symmetry_Int_Tables_number 122
_symmetry_space_group_name_Hall 'I -4 2bw'
loop_
_atom_site_label
_atom_site_fract_x
_atom_site_fract_y
_atom_site_fract_z
Na1 0.2242 0.2500 0.1250
Mn1 0.0000 0.0000 0.5000
Zn1 0.0000 0.0000 0.0000
```

Principal peaks in the range 10 to 90 degrees two-theta, sorted by position:
d 4.193, rel. 51
d 2.965, rel. 100
d 2.464, rel. 73
d 2.096, rel. 35
d 1.895, rel. 63
d 1.597, rel. 17
d 1.406, rel. 21
d 1.289, rel. 13
d 1.270, rel. 15
d 1.098, rel. 14


Calculated X-ray powder pattern of MnNb4 for copper Kα, from a structure optimized by DFT (PBE).

```
data_MnNb4
_chemical_formula_sum 'Mn4 Nb16'
_cell_length_a 7.6199
_cell_length_b 7.6199
_cell_length_c 6.2668
_cell_angle_alpha 90.00
_cell_angle_beta 90.00
_cell_angle_gamma 90.00
_symmetry_space_group_name_H-M 'I 41/a m d'
_symmetry_Int_Tables_number 141
loop_
_symmetry_equiv_pos_as_xyz
'x,y,z'
'-x,-y,-z'
'-y+1/4,x+3/4,z+1/4'
'y+1/4,-x+3/4,-z+1/4'
'-x+1/2,-y,z+1/2'
'x+1/2,y,-z+1/2'
'y+1/4,-x+1/4,z+3/4'
'-y+1/4,x+1/4,-z+3/4'
'x,-y,-z'
'-x,y,z'
'-y+1/4,-x+1/4,-z+3/4'
'y+1/4,x+1/4,z+3/4'
'-x+1/2,y,-z+1/2'
'x+1/2,-y,z+1/2'
'y+1/4,x+3/4,-z+1/4'
'-y+1/4,-x+3/4,z+1/4'
'x+1/2,y+1/2,z+1/2'
'-x+1/2,-y+1/2,-z+1/2'
'-y+3/4,x+1/4,z+3/4'
'y+3/4,-x+1/4,-z+3/4'
'-x,-y+1/2,z'
'x,y+1/2,-z'
'y+3/4,-x+3/4,z+1/4'
'-y+3/4,x+3/4,-z+1/4'
'x+1/2,-y+1/2,-z+1/2'
'-x+1/2,y+1/2,z+1/2'
'-y+3/4,-x+3/4,-z+1/4'
'y+3/4,x+3/4,z+1/4'
'-x,y+1/2,-z'
'x,-y+1/2,z'
'y+3/4,x+1/4,-z+3/4'
'-y+3/4,-x+1/4,z+3/4'
loop_
_atom_site_label
_atom_site_fract_x
_atom_site_fract_y
_atom_site_fract_z
Mn1 0.0000 0.2500 0.3750
Nb1 0.0000 0.0435 0.7370
```

Principal peaks in the range 10 to 90 degrees two-theta, sorted by position:
d 3.810, rel. 10
d 2.694, rel. 41
d 2.420, rel. 100
d 2.354, rel. 28
d 2.015, rel. 9
d 2.003, rel. 25
d 1.905, rel. 22
d 1.497, rel. 22
d 1.481, rel. 15
d 1.354, rel. 16


Calculated X-ray powder pattern of Mn2Nb3 for copper Kα, from a structure optimized by DFT (PBE).

```
data_Mn2Nb3
_chemical_formula_sum 'Mn4 Nb6'
_cell_length_a 3.1034
_cell_length_b 3.1034
_cell_length_c 15.8620
_cell_angle_alpha 90.00
_cell_angle_beta 90.00
_cell_angle_gamma 90.00
_symmetry_space_group_name_H-M 'P 4/m m m'
_symmetry_Int_Tables_number 123
_symmetry_space_group_name_Hall '-P 4 2'
loop_
_atom_site_label
_atom_site_fract_x
_atom_site_fract_y
_atom_site_fract_z
Mn1 0.0000 0.0000 0.0965
Mn2 0.0000 0.0000 0.2896
Nb1 0.0000 0.0000 0.5000
Nb2 0.5000 0.5000 0.0000
Nb3 0.5000 0.5000 0.1922
Nb4 0.5000 0.5000 0.3852
```

Principal peaks in the range 10 to 90 degrees two-theta, sorted by position:
d 3.103, rel. 5
d 2.444, rel. 4
d 2.218, rel. 100
d 2.194, rel. 53
d 1.586, rel. 6
d 1.552, rel. 17
d 1.286, rel. 12
d 1.272, rel. 31
d 1.109, rel. 8
d 1.097, rel. 5


Calculated X-ray powder pattern of MnNbNi3 for copper Kα, from a structure optimized by DFT (PBE).

```
data_MnNbNi3
_chemical_formula_sum 'Mn1 Nb1 Ni3'
_cell_length_a 4.8869
_cell_length_b 4.8869
_cell_length_c 5.0100
_cell_angle_alpha 90.00
_cell_angle_beta 90.00
_cell_angle_gamma 120.00
_symmetry_space_group_name_H-M 'P 6/m m m'
_symmetry_Int_Tables_number 191
_symmetry_space_group_name_Hall '-P 6 2'
loop_
_atom_site_label
_atom_site_fract_x
_atom_site_fract_y
_atom_site_fract_z
Mn1 0.0000 0.0000 0.0000
Nb1 0.0000 0.0000 0.5000
Ni1 0.0000 0.5000 0.5000
```

Principal peaks in the range 10 to 90 degrees two-theta, sorted by position:
d 5.010, rel. 100
d 4.232, rel. 28
d 2.505, rel. 37
d 2.156, rel. 9
d 2.116, rel. 66
d 1.949, rel. 47
d 1.617, rel. 53
d 1.311, rel. 12
d 1.222, rel. 10
d 1.098, rel. 14


Calculated X-ray powder pattern of MnNb2Ni6 for copper Kα, from a structure optimized by DFT (PBE).

```
data_MnNb2Ni6
_chemical_formula_sum 'Mn1 Nb2 Ni6'
_cell_length_a 4.9396
_cell_length_b 4.9396
_cell_length_c 5.4624
_cell_angle_alpha 90.00
_cell_angle_beta 90.00
_cell_angle_gamma 120.00
_symmetry_space_group_name_H-M 'P -3 m 1'
_symmetry_Int_Tables_number 164
_symmetry_space_group_name_Hall '-P 3 2"'
loop_
_atom_site_label
_atom_site_fract_x
_atom_site_fract_y
_atom_site_fract_z
Mn1 0.0000 0.0000 0.0000
Nb1 0.3333 0.6667 0.1294
Ni1 0.1733 0.3467 0.6745
```

Principal peaks in the range 10 to 90 degrees two-theta, sorted by position:
d 2.302, rel. 62
d 2.250, rel. 49
d 2.139, rel. 19
d 1.992, rel. 100
d 1.684, rel. 13
d 1.675, rel. 14
d 1.391, rel. 19
d 1.235, rel. 21
d 1.209, rel. 13
d 1.151, rel. 11


Calculated X-ray powder pattern of MnNb2Ni6 for copper Kα, from a structure optimized by DFT (PBE).

```
data_MnNb2Ni6
_chemical_formula_sum 'Mn2 Nb4 Ni12'
_cell_length_a 7.0235
_cell_length_b 12.6586
_cell_length_c 2.6306
_cell_angle_alpha 90.00
_cell_angle_beta 90.00
_cell_angle_gamma 90.00
_symmetry_space_group_name_H-M 'C m m m'
_symmetry_Int_Tables_number 65
_symmetry_space_group_name_Hall '-C 2 2'
loop_
_atom_site_label
_atom_site_fract_x
_atom_site_fract_y
_atom_site_fract_z
Mn1 0.0000 0.0000 0.0000
Nb1 0.0000 0.3161 0.5000
Ni1 0.1788 0.1580 0.0000
Ni2 0.1866 0.5000 0.5000
```

Principal peaks in the range 10 to 90 degrees two-theta, sorted by position:
d 2.418, rel. 54
d 2.127, rel. 21
d 2.109, rel. 64
d 2.047, rel. 100
d 2.023, rel. 14
d 1.998, rel. 58
d 1.766, rel. 30
d 1.753, rel. 27
d 1.265, rel. 13
d 1.107, rel. 25